Diffraction record for AcPr5Rh2. The powder diffraction line list is calculated, not measured: it uses DFT lattice parameters and positions (PBE) and Cu Kα (weighted mean of Kα1 and Kα2).

Atomic structure:
```
AcPr5Rh2
1.0
4.219 0.000 0.000
0.000 7.553 0.000
0.000 0.000 16.661
Ac Pr Rh
2 10 4
Direct
0.000 0.000 0.000 Ac
0.500 0.500 0.500 Ac
0.000 0.251 0.339 Pr
0.000 0.251 0.661 Pr
0.000 0.500 0.000 Pr
0.000 0.749 0.339 Pr
0.000 0.749 0.661 Pr
0.500 0.000 0.500 Pr
0.500 0.249 0.161 Pr
0.500 0.249 0.839 Pr
0.500 0.751 0.161 Pr
0.500 0.751 0.839 Pr
0.000 0.500 0.184 Rh
0.000 0.500 0.816 Rh
0.500 0.000 0.316 Rh
0.500 0.000 0.684 Rh
```

Most intense lines, 2θ = 10–90°, sorted by position:
Position (°2θ)	d (Å)	I_rel
19.84	4.474	14.9
25.90	3.440	22.2
26.52	3.361	60.0
31.99	2.798	28.6
32.26	2.775	100.0
35.77	2.510	14.3
42.03	2.150	30.8
42.87	2.109	17.4
50.20	1.817	17.3
54.64	1.680	15.5